[1]
Diffraction record for Ta4FeTe4. The powder diffraction line list is calculated, not measured: it uses a structure optimized by DFT (PBE) and Cu Kα.

Structure:
```
data_Ta4FeTe4
_cell_length_a 10.782
_cell_length_b 18.792
_cell_length_c 4.859
_cell_angle_alpha 90.00
_cell_angle_beta 90.00
_cell_angle_gamma 90.00
_space_group_name_H-M_alt 'P b a m'
_space_group_IT_number 55
_space_group_name_Hall '-P 2 2ab'
loop_
_atom_site_label
_atom_site_type_symbol
_atom_site_fract_x
_atom_site_fract_y
_atom_site_fract_z
Ta1 Ta 0.066 0.116 0.000
Ta2 Ta 0.097 0.892 0.500
Ta3 Ta 0.190 0.056 0.500
Ta4 Ta 0.203 0.963 0.000
Fe1 Fe 0.000 0.000 0.250
Te1 Te 0.113 0.201 0.500
Te2 Te 0.149 0.434 0.500
Te3 Te 0.167 0.812 0.000
Te4 Te 0.170 0.597 0.000
```

Largest 12 diffraction maxima, by angle, 10° ≤ 2θ ≤ 90°:
2θ/deg  intensity  hkl
16.4  40  2 0 0
18.9  29  0 4 0
25.1  34  2 1 1
32.4  54  3 2 1
34.5  45  2 5 1
35.1  100  1 6 1
36.5  41  3 4 1
37.0  78  0 0 2
38.2  25  4 0 1
38.5  49  4 1 1
40.9  79  4 3 1
41.9  92  2 7 1

***

[2]
Diffraction record for TlFeCuNi. The powder diffraction line list is calculated, not measured: it uses a structure optimized by DFT (PBE) and Cu Kα.

Structure:
```
data_TlFeCuNi
_cell_length_a 6.123
_cell_length_b 6.123
_cell_length_c 6.123
_cell_angle_alpha 90.00
_cell_angle_beta 90.00
_cell_angle_gamma 90.00
_space_group_name_H-M_alt 'F -4 3 m'
_space_group_IT_number 216
_space_group_name_Hall 'F -4 2 3'
loop_
_atom_site_label
_atom_site_type_symbol
_atom_site_fract_x
_atom_site_fract_y
_atom_site_fract_z
Tl1 Tl 0.000 0.000 0.000
Fe1 Fe 0.250 0.250 0.250
Cu1 Cu 0.000 0.000 0.500
Ni1 Ni 0.250 0.250 0.750
```

Largest 10 diffraction maxima, by angle, 10° ≤ 2θ ≤ 90°:
2θ/deg  intensity  hkl
25.2  27  1 1 1
29.2  17  2 0 0
41.7  100  2 2 0
49.4  14  3 1 1
51.7  5  2 2 2
60.5  16  4 0 0
66.6  6  3 3 1
68.5  7  4 2 0
76.2  32  4 2 2
81.7  5  5 1 1

***

[3]
Diffraction record for Pr2YPd3Pb3. The powder diffraction line list is calculated, not measured: it uses a structure optimized by DFT (PBE) and Cu Kα.

Structure:
```
data_Pr2YPd3Pb3
_cell_length_a 4.010
_cell_length_b 13.691
_cell_length_c 7.925
_cell_angle_alpha 90.00
_cell_angle_beta 90.00
_cell_angle_gamma 90.00
_space_group_name_H-M_alt 'A m m 2'
_space_group_IT_number 38
_space_group_name_Hall 'A 2 -2'
loop_
_atom_site_label
_atom_site_type_symbol
_atom_site_fract_x
_atom_site_fract_y
_atom_site_fract_z
Pr1 Pr 0.000 0.202 0.000
Y1 Y 0.000 0.000 0.396
Pd1 Pd 0.000 0.000 0.793
Pd2 Pd 0.500 0.163 0.299
Pb1 Pb 0.500 0.000 0.061
Pb2 Pb 0.500 0.130 0.665
```

Largest 12 diffraction maxima, by angle, 10° ≤ 2θ ≤ 90°:
2θ/deg  intensity  hkl
22.2  10  1 0 0
31.8  100  1 3 1
34.4  66  1 2 2
34.6  54  0 5 1
39.4  37  0 3 3
41.5  34  1 1 3
45.2  22  2 0 0
58.2  25  2 5 1
61.5  20  2 3 3
63.5  24  1 7 3
63.6  10  1 8 2
81.8  9  1 4 6